This entry pairs a crystal structure of AcBe2Pd5 with its simulated powder X-ray diffraction pattern. Radiation: a wavelength of 1.5418 Å. Structure: the GGA-PBE geometry in Alexandria.
Neutral-atom scattering factors, no anomalous dispersion.

Structural model:
a = 3.999 Å, b = 6.597 Å, c = 9.936 Å
α = 90.00°, β = 90.00°, γ = 90.00°
Space group Immm (No. 71)
Inequivalent atoms, fractional coordinates:
Ac  0.000  0.000  0.000 (multiplicity 2)
Be  0.000  0.500  0.223 (multiplicity 4)
Pd  0.000  0.204  0.346 (multiplicity 8)
Pd  0.000  0.500  0.000 (multiplicity 2)

Principal peaks in the range 2θ from 5° to 70°, by angle:
26.06°, rel. 192; 30.19°, rel. 153; 32.58°, rel. 439; 35.18°, rel. 1000; 36.45°, rel. 949; 45.36°, rel. 265; 45.72°, rel. 323; 55.48°, rel. 178; 56.96°, rel. 180; 66.37°, rel. 211

This entry pairs a crystal structure of Ac2Be3Pd12Pt with its simulated powder X-ray diffraction pattern. Radiation: a wavelength of 1.5418 Å. Structure: the GGA-PBE geometry in Alexandria.
Neutral-atom scattering factors, no anomalous dispersion.

Structural model:
a = 8.1482 Å, b = 8.1482 Å, c = 17.8077 Å
α = 90.00°, β = 90.00°, γ = 120.00°
Space group R-3m (No. 166, hexagonal axes)
Inequivalent atoms, fractional coordinates:
Ac  0.0000  0.0000  0.1089 (multiplicity 6)
Be  0.0000  0.5000  0.0000 (multiplicity 9)
Pd  0.0128  0.5064  0.8774 (multiplicity 18)
Pd  0.0507  0.5253  0.3579 (multiplicity 18)
Pt  0.0000  0.0000  0.5000 (multiplicity 3)

Principal peaks in the range 2θ from 5° to 70°, by angle:
26.54°, rel. 291; 28.06°, rel. 291; 32.38°, rel. 1000; 35.12°, rel. 326; 35.82°, rel. 362; 41.29°, rel. 133; 44.48°, rel. 673; 48.35°, rel. 402; 56.08°, rel. 153; 67.78°, rel. 130

This entry pairs a crystal structure of AcBeSi2Pd with its simulated powder X-ray diffraction pattern. Radiation: a wavelength of 1.5418 Å. Structure: the GGA-PBE geometry in Alexandria.
Neutral-atom scattering factors, no anomalous dispersion.

Structural model:
a = 4.240 Å, b = 4.240 Å, c = 10.235 Å
α = 90.00°, β = 90.00°, γ = 90.00°
Space group I-4m2 (No. 119)
Inequivalent atoms, fractional coordinates:
Ac  0.000  0.000  0.000 (multiplicity 2)
Be  0.000  0.500  0.250 (multiplicity 2)
Si  0.000  0.000  0.375 (multiplicity 4)
Pd  0.000  0.500  0.750 (multiplicity 2)

Principal peaks in the range 2θ from 5° to 70°, by angle:
22.70°, rel. 1000; 29.80°, rel. 162; 33.72°, rel. 698; 34.68°, rel. 927; 42.65°, rel. 357; 48.85°, rel. 277; 49.44°, rel. 241; 55.44°, rel. 342; 62.66°, rel. 169; 67.31°, rel. 193

This entry pairs a crystal structure of Ac2BeTlPd6 with its simulated powder X-ray diffraction pattern. Radiation: a wavelength of 1.5418 Å. Structure: the GGA-PBE geometry in Alexandria.
Neutral-atom scattering factors, no anomalous dispersion.

Structural model:
a = 6.039 Å, b = 6.049 Å, c = 7.671 Å
α = 67.39°, β = 66.98°, γ = 60.10°
Space group P-1 (No. 2)
Inequivalent atoms, fractional coordinates:
Ac  0.244  0.248  0.265 (multiplicity 2)
Be  0.000  0.000  0.000 (multiplicity 1)
Tl  0.500  0.500  0.500 (multiplicity 1)
Pd  0.234  0.230  0.822 (multiplicity 2)
Pd  0.234  0.702  0.829 (multiplicity 2)
Pd  0.289  0.771  0.176 (multiplicity 2)

Principal peaks in the range 2θ from 5° to 70°, by angle:
24.11°, rel. 232; 24.33°, rel. 478; 25.98°, rel. 396; 29.54°, rel. 426; 35.24°, rel. 333; 35.44°, rel. 687; 38.52°, rel. 1000; 38.71°, rel. 520; 38.94°, rel. 286; 61.27°, rel. 320

This entry pairs a crystal structure of AcBe3Pt3 with its simulated powder X-ray diffraction pattern. Radiation: a wavelength of 1.5418 Å. Structure: the GGA-PBE geometry in Alexandria.
Neutral-atom scattering factors, no anomalous dispersion.

Structural model:
a = 6.284 Å, b = 6.284 Å, c = 6.284 Å
α = 90.00°, β = 90.00°, γ = 90.00°
Space group Pm-3n (No. 223)
Inequivalent atoms, fractional coordinates:
Ac  0.000  0.000  0.000 (multiplicity 2)
Be  0.000  0.250  0.500 (multiplicity 6)
Pt  0.000  0.500  0.250 (multiplicity 6)

Principal peaks in the range 2θ from 5° to 70°, by angle:
28.41°, rel. 427; 31.84°, rel. 1000; 34.98°, rel. 996; 50.30°, rel. 94; 52.51°, rel. 252; 54.65°, rel. 569; 58.78°, rel. 216; 66.55°, rel. 159; 68.42°, rel. 230

This entry pairs a crystal structure of AcBePt with its simulated powder X-ray diffraction pattern. Radiation: a wavelength of 1.5418 Å. Structure: the GGA-PBE geometry in Alexandria.
Neutral-atom scattering factors, no anomalous dispersion.

Structural model:
a = 4.093 Å, b = 13.896 Å, c = 7.205 Å
α = 90.00°, β = 90.00°, γ = 90.00°
Space group Amm2 (No. 38)
Inequivalent atoms, fractional coordinates:
Ac  0.000  0.000  0.000 (multiplicity 2)
Ac  0.000  0.198  0.348 (multiplicity 4)
Be  0.500  0.000  0.427 (multiplicity 2)
Be  0.500  0.085  0.691 (multiplicity 4)
Pt  0.000  0.000  0.566 (multiplicity 2)
Pt  0.500  0.160  0.992 (multiplicity 4)

Principal peaks in the range 2θ from 5° to 70°, by angle:
21.71°, rel. 222; 22.82°, rel. 283; 24.71°, rel. 349; 27.90°, rel. 399; 31.71°, rel. 1000; 33.85°, rel. 437; 35.63°, rel. 785; 38.89°, rel. 228; 42.37°, rel. 386; 44.26°, rel. 296

This entry pairs a crystal structure of Ac3Be2SbPt9 with its simulated powder X-ray diffraction pattern. Radiation: a wavelength of 1.5418 Å. Structure: the GGA-PBE geometry in Alexandria.
Neutral-atom scattering factors, no anomalous dispersion.

Structural model:
a = 6.9400 Å, b = 6.9400 Å, c = 7.3810 Å
α = 90.00°, β = 90.00°, γ = 120.00°
Space group P-3m1 (No. 164)
Inequivalent atoms, fractional coordinates:
Ac  0.0000  0.0000  0.0000 (multiplicity 1)
Ac  0.3333  0.6667  0.6673 (multiplicity 2)
Be  0.3333  0.6667  0.1216 (multiplicity 2)
Sb  0.0000  0.0000  0.5000 (multiplicity 1)
Pt  0.0000  0.5000  0.0000 (multiplicity 3)
Pt  0.1888  0.3776  0.3133 (multiplicity 6)

Principal peaks in the range 2θ from 5° to 70°, by angle:
32.16°, rel. 1000; 36.52°, rel. 241; 38.64°, rel. 776; 39.64°, rel. 74; 46.99°, rel. 73; 52.76°, rel. 278; 58.72°, rel. 209; 63.15°, rel. 119; 65.87°, rel. 213; 67.28°, rel. 126

This entry pairs a crystal structure of Ac2SmBe2Pt7 with its simulated powder X-ray diffraction pattern. Radiation: a wavelength of 1.5418 Å. Structure: the GGA-PBE geometry in Alexandria.
Neutral-atom scattering factors, no anomalous dispersion.

Structural model:
a = 5.938 Å, b = 5.915 Å, c = 13.403 Å
α = 90.00°, β = 97.37°, γ = 90.00°
Space group C2/m (No. 12)
Inequivalent atoms, fractional coordinates:
Ac  0.096  0.000  0.348 (multiplicity 4)
Sm  0.000  0.000  0.000 (multiplicity 2)
Be  0.070  0.500  0.240 (multiplicity 4)
Pt  0.000  0.500  0.000 (multiplicity 2)
Pt  0.113  0.500  0.416 (multiplicity 4)
Pt  0.204  0.251  0.838 (multiplicity 8)

Principal peaks in the range 2θ from 5° to 70°, by angle:
6.65°, rel. 274; 26.83°, rel. 201; 30.98°, rel. 276; 33.16°, rel. 282; 33.71°, rel. 233; 34.34°, rel. 624; 34.87°, rel. 690; 36.53°, rel. 1000; 40.73°, rel. 182; 43.31°, rel. 933

This entry pairs a crystal structure of Ac2BeZnPt6 with its simulated powder X-ray diffraction pattern. Radiation: a wavelength of 1.5418 Å. Structure: the GGA-PBE geometry in Alexandria.
Neutral-atom scattering factors, no anomalous dispersion.

Structural model:
a = 10.314 Å, b = 5.934 Å, c = 7.381 Å
α = 90.00°, β = 118.02°, γ = 90.00°
Space group C2/m (No. 12)
Inequivalent atoms, fractional coordinates:
Ac  0.222  0.000  0.165 (multiplicity 4)
Be  0.000  0.000  0.500 (multiplicity 2)
Zn  0.000  0.500  0.000 (multiplicity 2)
Pt  0.024  0.264  0.309 (multiplicity 8)
Pt  0.240  0.000  0.690 (multiplicity 4)

Principal peaks in the range 2θ from 5° to 70°, by angle:
27.38°, rel. 423; 28.67°, rel. 387; 33.10°, rel. 198; 35.98°, rel. 445; 36.13°, rel. 888; 36.65°, rel. 216; 39.57°, rel. 1000; 52.22°, rel. 154; 57.84°, rel. 176; 62.44°, rel. 235

This entry pairs a crystal structure of AcBe2Rh2 with its simulated powder X-ray diffraction pattern. Radiation: a wavelength of 1.5418 Å. Structure: the GGA-PBE geometry in Alexandria.
Neutral-atom scattering factors, no anomalous dispersion.

Structural model:
a = 5.698 Å, b = 10.111 Å, c = 6.687 Å
α = 90.00°, β = 114.90°, γ = 90.00°
Space group C2/c (No. 15)
Inequivalent atoms, fractional coordinates:
Ac  0.000  0.125  0.250 (multiplicity 4)
Be  0.000  0.202  0.750 (multiplicity 4)
Be  0.000  0.452  0.250 (multiplicity 4)
Rh  0.124  0.375  0.996 (multiplicity 8)

Principal peaks in the range 2θ from 5° to 70°, by angle:
22.90°, rel. 834; 28.40°, rel. 671; 28.54°, rel. 659; 35.52°, rel. 532; 36.19°, rel. 1000; 38.13°, rel. 343; 38.23°, rel. 331; 41.34°, rel. 268; 41.51°, rel. 266; 53.13°, rel. 236

This entry pairs a crystal structure of Ac2Be4Rh5 with its simulated powder X-ray diffraction pattern. Radiation: a wavelength of 1.5418 Å. Structure: the GGA-PBE geometry in Alexandria.
Neutral-atom scattering factors, no anomalous dispersion.

Structural model:
a = 5.834 Å, b = 9.899 Å, c = 12.475 Å
α = 90.00°, β = 90.00°, γ = 90.00°
Space group Fmmm (No. 69)
Inequivalent atoms, fractional coordinates:
Ac  0.000  0.000  0.139 (multiplicity 8)
Be  0.000  0.168  0.375 (multiplicity 16)
Rh  0.000  0.000  0.500 (multiplicity 4)
Rh  0.250  0.250  0.000 (multiplicity 8)
Rh  0.250  0.250  0.250 (multiplicity 8)

Principal peaks in the range 2θ from 5° to 70°, by angle:
19.04°, rel. 274; 27.85°, rel. 953; 33.98°, rel. 647; 35.73°, rel. 1000; 36.30°, rel. 480; 38.08°, rel. 468; 42.43°, rel. 387; 57.04°, rel. 297; 63.82°, rel. 215; 64.94°, rel. 189

This entry pairs a crystal structure of Ac2BeSe4 with its simulated powder X-ray diffraction pattern. Radiation: a wavelength of 1.5418 Å. Structure: the GGA-PBE geometry in Alexandria.
Neutral-atom scattering factors, no anomalous dispersion.

Structural model:
a = 6.734 Å, b = 6.860 Å, c = 8.664 Å
α = 90.00°, β = 108.74°, γ = 90.00°
Space group P2_1/m (No. 11)
Inequivalent atoms, fractional coordinates:
Ac  0.221  0.250  0.052 (multiplicity 2)
Ac  0.271  0.250  0.571 (multiplicity 2)
Be  0.222  0.750  0.798 (multiplicity 2)
Se  0.002  0.001  0.737 (multiplicity 4)
Se  0.391  0.750  0.073 (multiplicity 2)
Se  0.416  0.750  0.625 (multiplicity 2)

Principal peaks in the range 2θ from 5° to 70°, by angle:
19.00°, rel. 887; 25.98°, rel. 380; 29.44°, rel. 900; 29.58°, rel. 250; 32.26°, rel. 747; 34.07°, rel. 1000; 38.55°, rel. 382; 41.70°, rel. 292; 44.63°, rel. 263; 58.08°, rel. 234

This entry pairs a crystal structure of Ac2Bi5 with its simulated powder X-ray diffraction pattern. Radiation: a wavelength of 1.5418 Å. Structure: the GGA-PBE geometry in Alexandria.
Neutral-atom scattering factors, no anomalous dispersion.

Structural model:
a = 4.753 Å, b = 41.429 Å, c = 5.052 Å
α = 90.00°, β = 90.00°, γ = 90.00°
Space group Cmcm (No. 63)
Inequivalent atoms, fractional coordinates:
Ac  0.000  0.097  0.250 (multiplicity 4)
Ac  0.000  0.316  0.250 (multiplicity 4)
Bi  0.000  0.037  0.750 (multiplicity 4)
Bi  0.000  0.178  0.250 (multiplicity 4)
Bi  0.000  0.251  0.750 (multiplicity 4)
Bi  0.000  0.401  0.250 (multiplicity 4)
Bi  0.000  0.474  0.750 (multiplicity 4)

Principal peaks in the range 2θ from 5° to 70°, by angle:
25.82°, rel. 181; 27.93°, rel. 587; 30.20°, rel. 330; 32.36°, rel. 1000; 35.54°, rel. 302; 37.86°, rel. 256; 47.32°, rel. 197; 52.90°, rel. 199; 57.69°, rel. 226; 62.13°, rel. 177